(1)
Starting from a crystal structure in Alexandria, relaxed with PBE, the powder diffraction line list of Rb2Na5 was simulated for Cu Kα.
Peak positions follow from Bragg's law for the DFT cell and can differ from measured ones.

Top 12 peaks for 2θ from 5° to 70°, sorted by position:
| d [Å] | two_theta | Rel. int. |
| --- | --- | --- |
| 6.934 | 12.8 | 42 |
| 5.305 | 16.7 | 22 |
| 4.045 | 22.0 | 23 |
| 4.012 | 22.2 | 34 |
| 3.902 | 22.8 | 27 |
| 3.814 | 23.3 | 29 |
| 3.537 | 25.2 | 25 |
| 3.474 | 25.6 | 74 |
| 3.453 | 25.8 | 60 |
| 3.209 | 27.8 | 100 |
| 3.128 | 28.5 | 97 |
| 1.781 | 51.3 | 38 |

Structural model:
```
Rb2Na5
1.0
7.9339 -2.0760 0.0000
7.9339 2.0760 0.0000
-2.0347 0.0000 10.6110
Rb Na
2 5
direct
0.0797 0.0797 0.2022
0.9203 0.9203 0.7978
0.1901 0.1901 0.6023
0.3299 0.3299 0.1163
0.5000 0.5000 0.5000
0.6701 0.6701 0.8837
0.8099 0.8099 0.3977
```


(2)
Starting from a crystal structure in Alexandria, relaxed with PBE, the powder diffraction line list of Ho3ScRu3 was simulated for Cu Kα.
Peak positions follow from Bragg's law for the DFT cell and can differ from measured ones.

Top 12 peaks for 2θ from 5° to 70°, sorted by position:
| d [Å] | two_theta | Rel. int. |
| --- | --- | --- |
| 4.658 | 19.1 | 32 |
| 2.727 | 32.8 | 24 |
| 2.699 | 33.2 | 31 |
| 2.689 | 33.3 | 47 |
| 2.354 | 38.2 | 100 |
| 2.329 | 38.7 | 79 |
| 2.101 | 43.1 | 25 |
| 1.762 | 51.9 | 23 |
| 1.655 | 55.5 | 20 |
| 1.560 | 59.2 | 23 |
| 1.364 | 68.9 | 14 |
| 1.349 | 69.7 | 14 |

Structural model:
```
Ho3ScRu3
1.0
4.6579 2.6893 1.9319
-4.6579 2.6893 1.9319
0.0000 -5.3785 1.9319
Ho Sc Ru
3 1 3
direct
0.0574 0.4713 0.4713
0.4713 0.0574 0.4713
0.4713 0.4713 0.0574
0.8849 0.8849 0.8849
0.4767 0.9691 0.9691
0.9691 0.4767 0.9691
0.9691 0.9691 0.4767
```


(3)
Starting from a crystal structure in Alexandria, relaxed with PBE, the powder diffraction line list of Tl2Br3Cl6 was simulated for Cu Kα.
Peak positions follow from Bragg's law for the DFT cell and can differ from measured ones.

Top 12 peaks for 2θ from 5° to 70°, sorted by position:
| d [Å] | two_theta | Rel. int. |
| --- | --- | --- |
| 7.731 | 11.4 | 19 |
| 7.120 | 12.4 | 62 |
| 6.286 | 14.1 | 30 |
| 4.160 | 21.4 | 54 |
| 3.866 | 23.0 | 17 |
| 3.771 | 23.6 | 100 |
| 2.883 | 31.0 | 18 |
| 2.494 | 36.0 | 44 |
| 2.212 | 40.8 | 25 |
| 2.097 | 43.1 | 19 |
| 2.081 | 43.5 | 14 |
| 1.598 | 57.7 | 14 |

Structural model:
```
Tl2Br3Cl6
1.0
7.4734 -4.3232 0.0000
7.4734 4.3232 0.0000
-5.0463 0.0000 15.4629
Tl Br Cl
4 6 12
direct
0.1655 0.6654 0.9960
0.3346 0.8345 0.5040
0.6654 0.1655 0.4960
0.8345 0.3346 0.0040
0.0548 0.9452 0.7500
0.2504 0.4440 0.2500
0.4440 0.2504 0.7500
0.5560 0.7496 0.2500
0.7496 0.5560 0.7500
0.9452 0.0548 0.2500
0.0276 0.9217 0.5970
0.0783 0.9724 0.9030
0.1503 0.4198 0.0966
0.3500 0.4715 0.4034
0.4198 0.1503 0.5966
0.4715 0.3500 0.9034
0.5285 0.6500 0.0966
0.5802 0.8497 0.4034
0.6500 0.5285 0.5966
0.8497 0.5802 0.9034
0.9217 0.0276 0.0970
0.9724 0.0783 0.4030
```


(4)
Starting from a crystal structure in Alexandria, relaxed with PBE, the powder diffraction line list of Sc5Hg4Au2 was simulated for Cu Kα.
Peak positions follow from Bragg's law for the DFT cell and can differ from measured ones.

Top 12 peaks for 2θ from 5° to 70°, sorted by position:
| d [Å] | two_theta | Rel. int. |
| --- | --- | --- |
| 3.825 | 23.3 | 46 |
| 3.547 | 25.1 | 47 |
| 3.427 | 26.0 | 100 |
| 2.553 | 35.2 | 96 |
| 2.480 | 36.2 | 63 |
| 2.465 | 36.5 | 91 |
| 2.390 | 37.6 | 58 |
| 2.352 | 38.3 | 40 |
| 2.340 | 38.5 | 69 |
| 2.009 | 45.1 | 40 |
| 1.961 | 46.3 | 39 |
| 1.409 | 66.3 | 40 |

Structural model:
```
Sc5Hg4Au2
1.0
7.7531 0.0000 0.0000
0.0000 17.5901 0.0000
0.0000 0.0000 3.4275
Sc Hg Au
10 8 4
direct
0.0000 0.0000 0.0000
0.1180 0.4193 0.0000
0.2379 0.2106 0.0000
0.2621 0.7106 0.0000
0.3820 0.9193 0.0000
0.5000 0.5000 0.0000
0.6180 0.0807 0.0000
0.7379 0.2894 0.0000
0.7621 0.7894 0.0000
0.8820 0.5807 0.0000
0.0823 0.8583 0.5000
0.2085 0.5614 0.5000
0.2915 0.0614 0.5000
0.4177 0.3583 0.5000
0.5823 0.6417 0.5000
0.7085 0.9386 0.5000
0.7915 0.4386 0.5000
0.9177 0.1417 0.5000
0.0315 0.3017 0.5000
0.4685 0.8017 0.5000
0.5315 0.1983 0.5000
0.9685 0.6983 0.5000
```